Theoretical powder diffraction line list of CaMgB6O17 for Cu Kα, from a crystal structure in the Materials Project, relaxed with PBE.
Kinematic intensities with the Lorentz-polarization factor, no thermal factor.

Atomic structure:
Cell lengths 11.4073, 6.4807, 8.1171 Å; angles 90.00, 100.62, 90.00 degrees
Sites, in units of the cell vectors:
1 Ca 0.0000 0.2345 0.2500
2 Ca 0.0000 0.7655 0.7500
3 Mg 0.5000 0.0000 0.0000
4 Mg 0.5000 0.0000 0.5000
5 B 0.0994 0.2942 0.9208
6 B 0.0994 0.7058 0.4208
7 B 0.2632 0.4692 0.4006
8 B 0.2632 0.5308 0.9006
9 B 0.2908 0.2772 0.1404
10 B 0.2908 0.7228 0.6404
11 B 0.7092 0.2772 0.3596
12 B 0.7092 0.7228 0.8596
13 B 0.7368 0.4692 0.0994
14 B 0.7368 0.5308 0.5994
15 B 0.9006 0.2942 0.5792
16 B 0.9006 0.7058 0.0792
17 O 0.0095 0.3944 0.5162
18 O 0.0095 0.6056 0.0162
19 O 0.0437 0.1083 0.8310
20 O 0.0437 0.8917 0.3310
21 O 0.1507 0.4478 0.8296
22 O 0.1507 0.5522 0.3296
23 O 0.1660 0.2077 0.0715
24 O 0.1660 0.7923 0.5715
25 O 0.3091 0.3102 0.3211
26 O 0.3091 0.6898 0.8211
27 O 0.3210 0.4591 0.0510
28 O 0.3210 0.5409 0.5510
29 O 0.3671 0.1008 0.1040
30 O 0.3671 0.8992 0.6040
31 O 0.4817 0.3481 0.8168
32 O 0.4817 0.6519 0.3168
33 O 0.5000 0.0518 0.2500
34 O 0.5000 0.9482 0.7500
35 O 0.5183 0.3481 0.6832
36 O 0.5183 0.6519 0.1832
37 O 0.6329 0.1008 0.3960
38 O 0.6329 0.8992 0.8960
39 O 0.6790 0.4591 0.4490
40 O 0.6790 0.5409 0.9490
41 O 0.6909 0.3102 0.1789
42 O 0.6909 0.6898 0.6789
43 O 0.8340 0.2077 0.4285
44 O 0.8340 0.7923 0.9285
45 O 0.8493 0.4478 0.6704
46 O 0.8493 0.5522 0.1704
47 O 0.9563 0.1083 0.6690
48 O 0.9563 0.8917 0.1690
49 O 0.9905 0.3944 0.9838
50 O 0.9905 0.6056 0.4838

The 8 most intense peaks (5 to 70 degrees two-theta), low angle first:
h k l, Position (°2θ), I (rel.)
1 0 0, 7.9, 54
2 0 0, 15.8, 100
0 1 1, 17.6, 65
1 1 1, 20.2, 69
2 1 0, 21.0, 73
2 1 -1, 22.3, 56
1 1 2, 28.6, 87
3 1 1, 31.4, 65